Structure and simulated XRD peak list of Ac4GeSb2P (a GGA-PBE-relaxed structure; Cu Kα, 1.54184 Å).
Kinematic intensities with the Lorentz-polarization factor, no thermal factor.

The 10 most intense peaks (5 to 70 degrees two-theta), by intensity:
hkl, two_theta, Rel. int.
1 1 1, 27.07, 100
3 1 -1, 38.65, 52
1 1 -1, 23.49, 17
2 0 0, 23.28, 17
2 2 -2, 48.04, 14
0 2 0, 38.92, 13
2 2 2, 55.81, 13
2 0 2, 38.39, 13
4 2 0, 63.16, 12
0 2 4, 63.03, 11

Cell and atoms:
a = 8.075 Å, b = 4.628 Å, c = 8.102 Å
α = 90.00°, β = 109.14°, γ = 90.00°
Space group P2/m (No. 10)
Unique sites:
Ac (0.240, 0.000, 0.231)
Ac (0.251, 0.500, 0.766)
Ge (0.500, 0.000, 0.000)
Sb (0.000, 0.000, 0.500)
Sb (0.500, 0.500, 0.500)
P (0.000, 0.500, 0.000)